Structure and simulated X-ray diffraction stick pattern of Dy4Er2Te9 (the GGA-PBE geometry in Alexandria; copper Kα).
Peak positions follow from Bragg's law for the DFT cell and can differ from measured ones.

Cell and atoms:
Cell: 13.2837 7.6687 21.0205 Å, 90.00 90.01 90.00°
Space group C2/c (No. 15)
One atom of each set of equivalent atoms:
Dy1 0.1667 0.0001 0.0094 (multiplicity 8)
Dy2 0.1667 0.0004 0.3237 (multiplicity 8)
Er1 0.0001 0.5003 0.1575 (multiplicity 8)
Te1 0.0000 0.1882 0.2500 (multiplicity 4)
Te2 0.0095 0.1585 0.9164 (multiplicity 8)
Te3 0.1561 0.3436 0.7500 (multiplicity 8)
Te4 0.1658 0.3153 0.4165 (multiplicity 8)
Te5 0.1754 0.3438 0.0836 (multiplicity 8)

Main lines, in order of falling intensity (2θ = 10–80°):
d [Å], I/Imax, (hkl)
2.586, 100, 3 1 6
3.364, 86, 3 1 3
2.214, 62, 6 0 0
5.615, 35, 1 1 2
4.121, 27, 2 0 4
1.682, 27, 6 2 6
1.339, 24, 9 1 6
1.374, 21, 6 0 12

Structure and simulated X-ray diffraction stick pattern of Dy3Er4Te8 (the GGA-PBE geometry in Alexandria; copper Kα).
Peak positions follow from Bragg's law for the DFT cell and can differ from measured ones.

Cell and atoms:
Cell: 12.2115 12.2148 8.6366 Å, 90.00 134.98 90.00°
Space group C2/m (No. 12)
One atom of each set of equivalent atoms:
Dy1 0.0000 0.0000 0.0000 (multiplicity 2)
Dy2 0.2500 0.2500 0.0000 (multiplicity 4)
Er1 0.0000 0.0000 0.5000 (multiplicity 2)
Er2 0.0000 0.5000 0.0000 (multiplicity 2)
Er3 0.2500 0.2500 0.5000 (multiplicity 4)
Te1 0.0000 0.2510 0.0000 (multiplicity 4)
Te2 0.0000 0.2548 0.5000 (multiplicity 4)
Te3 0.2441 0.5000 0.4981 (multiplicity 4)
Te4 0.2442 0.5000 0.9904 (multiplicity 4)

Main lines, in order of falling intensity (2θ = 10–80°):
d [Å], I/Imax, (hkl)
3.054, 100, 0 4 0
2.159, 76, 0 4 2
1.366, 34, 8 0 -6
1.763, 27, 4 4 -4
1.247, 25, 8 4 -6
1.527, 13, 0 8 0
7.052, 4, 1 1 -1
3.683, 4, 3 1 -1

Structure and simulated X-ray diffraction stick pattern of Dy2ErTe (the GGA-PBE geometry in Alexandria; copper Kα).
Peak positions follow from Bragg's law for the DFT cell and can differ from measured ones.

Cell and atoms:
Cell: 3.8682 3.8682 29.1286 Å, 90.00 90.00 120.00°
Space group R3m (No. 160, hexagonal axes)
One atom of each set of equivalent atoms:
Dy1 0.0000 0.0000 0.0000 (multiplicity 3)
Dy2 0.0000 0.0000 0.1875 (multiplicity 3)
Er1 0.0000 0.0000 0.4267 (multiplicity 3)
Te1 0.0000 0.0000 0.5937 (multiplicity 3)

Main lines, in order of falling intensity (2θ = 10–80°):
d [Å], I/Imax, (hkl)
2.904, 100, 0 1 5
2.609, 43, 1 0 7
1.934, 40, 1 1 0
1.513, 26, 1 1 12
3.265, 22, 0 1 2
2.198, 21, 1 0 10
3.043, 21, 1 0 4
2.427, 18, 0 0 12

Structure and simulated X-ray diffraction stick pattern of Dy2ErTe4 (the GGA-PBE geometry in Alexandria; copper Kα).
Peak positions follow from Bragg's law for the DFT cell and can differ from measured ones.

Cell and atoms:
Cell: 16.1745 4.3295 7.5550 Å, 90.00 117.52 90.00°
Space group C2/m (No. 12)
One atom of each set of equivalent atoms:
Dy1 0.2438 0.0000 0.2294 (multiplicity 4)
Er1 0.0000 0.5000 0.5000 (multiplicity 2)
Te1 0.1190 0.5000 0.9501 (multiplicity 4)
Te2 0.1276 0.0000 0.4650 (multiplicity 4)

Main lines, in order of falling intensity (2θ = 10–80°):
d [Å], I/Imax, (hkl)
3.331, 100, 4 0 -2
2.596, 65, 6 0 -2
2.177, 49, 3 1 -3
2.590, 49, 5 1 -1
2.165, 25, 0 2 0
2.608, 23, 2 0 2
1.381, 23, 11 1 -3
6.680, 21, 2 0 -1

Structure and simulated X-ray diffraction stick pattern of DyEr3Te4 (the GGA-PBE geometry in Alexandria; copper Kα).
Peak positions follow from Bragg's law for the DFT cell and can differ from measured ones.

Cell and atoms:
Cell: 7.5246 8.5733 7.5143 Å, 90.00 109.22 90.00°
Space group P2/c (No. 13)
One atom of each set of equivalent atoms:
Dy1 0.0000 0.1245 0.2500 (multiplicity 2)
Er1 0.0000 0.3734 0.7500 (multiplicity 2)
Er2 0.5000 0.1245 0.7500 (multiplicity 2)
Er3 0.5000 0.3733 0.2500 (multiplicity 2)
Te1 0.2510 0.3768 0.5012 (multiplicity 4)
Te2 0.2521 0.1256 0.9998 (multiplicity 4)

Main lines, in order of falling intensity (2θ = 10–80°):
d [Å], I/Imax, (hkl)
3.058, 100, 1 2 1
2.164, 51, 3 2 -1
1.775, 14, 4 0 0
1.756, 13, 2 4 -2
2.177, 13, 2 0 2
2.143, 12, 0 4 0
1.370, 12, 5 2 -3
1.367, 12, 4 4 0

Structure and simulated X-ray diffraction stick pattern of DyErTh2Te5 (the GGA-PBE geometry in Alexandria; copper Kα).
Peak positions follow from Bragg's law for the DFT cell and can differ from measured ones.

Cell and atoms:
Cell: 5.3971 5.3971 11.5510 Å, 90.00 90.00 90.00°
Space group P4/mmm (No. 123)
One atom of each set of equivalent atoms:
Dy1 0.0000 0.0000 0.0000 (multiplicity 1)
Er1 0.0000 0.0000 0.5000 (multiplicity 1)
Th1 0.5000 0.5000 0.3374 (multiplicity 2)
Te1 0.0000 0.0000 0.2467 (multiplicity 2)
Te2 0.0000 0.5000 0.5000 (multiplicity 2)
Te3 0.5000 0.5000 0.0000 (multiplicity 1)

Main lines, in order of falling intensity (2θ = 10–80°):
d [Å], I/Imax, (hkl)
3.816, 100, 1 1 0
2.699, 99, 2 0 0
2.711, 66, 1 1 3
3.134, 53, 1 0 3
2.546, 44, 1 0 4
1.908, 36, 2 2 0
1.852, 35, 2 1 4
2.045, 32, 2 1 3